The following is a simulated X-ray powder pattern of Nd6DyY3. It was derived from DFT lattice parameters and positions (PBE), using Cu Kα.
No peak broadening, texture or thermal motion is included.

Most intense lines, 2θ = 5–70°, low angle first:
hkl  2θ/deg  d_spacing  I (rel.)
2 1 0  29.58  3.020  100
0 1 3  29.92  2.986  33
3 0 -5  30.25  2.955  95
1 0 5  31.13  2.873  80
4 0 0  31.98  2.798  69
0 1 4  33.39  2.683  32
3 1 -1  33.87  2.646  29
3 1 -2  33.98  2.638  27
1 1 -5  36.34  2.472  58
5 1 -5  48.59  1.874  29

```
data_Nd6DyY3
_cell_length_a 11.8106
_cell_length_b 3.5868
_cell_length_c 17.0680
_cell_angle_alpha 90.00
_cell_angle_beta 108.60
_cell_angle_gamma 90.00
_symmetry_space_group_name_H-M 'P 1 21/m 1'
_symmetry_Int_Tables_number 11
loop_
_symmetry_equiv_pos_as_xyz
'x,y,z'
'-x,-y,-z'
'-x,y+1/2,-z'
'x,-y+1/2,z'
loop_
_atom_site_label
_atom_site_fract_x
_atom_site_fract_y
_atom_site_fract_z
_atom_site_occupancy
Nd1 0.0999 0.2500 0.2566 1
Nd2 0.1256 0.2500 0.6751 1
Nd3 0.1534 0.2500 0.8944 1
Nd4 0.3605 0.7500 0.6167 1
Nd5 0.3647 0.7500 0.4091 1
Nd6 0.3996 0.7500 0.0416 1
Dy1 0.3565 0.7500 0.8220 1
Y1 0.1208 0.2500 0.4684 1
Y2 0.1245 0.7500 0.0754 1
Y3 0.3665 0.2500 0.2154 1
```

The following is a simulated X-ray powder pattern of Tl2Cd2In4Pb3. It was derived from DFT lattice parameters and positions (PBE), using Cu Kα.
No peak broadening, texture or thermal motion is included.

Most intense lines, 2θ = 5–70°, low angle first:
hkl  2θ/deg  d_spacing  I (rel.)
1 0 1  20.25  4.386  13
1 0 2  23.47  3.790  12
1 0 3  28.08  3.178  17
1 1 0  33.32  2.689  100
0 1 4  33.55  2.671  93
2 0 4  48.01  1.895  34
3 0 0  59.55  1.552  19
1 2 4  59.70  1.549  36
1 0 8  60.14  1.539  15
2 2 0  69.98  1.344  12

```
data_Tl2Cd2In4Pb3
_cell_length_a 5.3775
_cell_length_b 5.3775
_cell_length_c 13.0419
_cell_angle_alpha 90.00
_cell_angle_beta 90.00
_cell_angle_gamma 120.00
_symmetry_space_group_name_H-M 'P -3 m 1'
_symmetry_Int_Tables_number 164
_symmetry_space_group_name_Hall '-P 3 2"'
loop_
_atom_site_label
_atom_site_fract_x
_atom_site_fract_y
_atom_site_fract_z
_atom_site_occupancy
Tl1 0.3333 0.6667 0.0806 1
Cd1 0.3333 0.6667 0.5904 1
In1 0.3333 0.6667 0.3451 1
In2 0.3333 0.6667 0.8315 1
Pb1 0.0000 0.0000 0.2340 1
Pb2 0.0000 0.0000 0.5000 1
```

The following is a simulated X-ray powder pattern of Ta4I. It was derived from DFT lattice parameters and positions (PBE), using Cu Kα.
No peak broadening, texture or thermal motion is included.

Most intense lines, 2θ = 5–70°, low angle first:
hkl  2θ/deg  d_spacing  I (rel.)
1 0 0  18.07  4.910  13
1 1 0  25.66  3.472  11
1 1 1  31.56  2.835  97
2 0 0  36.60  2.455  100
2 1 0  41.10  2.196  6
2 1 1  45.23  2.005  5
2 2 0  52.73  1.736  71
3 0 0  56.20  1.637  3
3 1 1  62.76  1.481  42
2 2 2  65.89  1.418  24

```
data_Ta4I
_cell_length_a 4.9104
_cell_length_b 4.9104
_cell_length_c 4.9104
_cell_angle_alpha 90.00
_cell_angle_beta 90.00
_cell_angle_gamma 90.00
_symmetry_space_group_name_H-M 'P m -3 m'
_symmetry_Int_Tables_number 221
_symmetry_space_group_name_Hall '-P 4 2 3'
loop_
_atom_site_label
_atom_site_fract_x
_atom_site_fract_y
_atom_site_fract_z
_atom_site_occupancy
Ta1 0.0000 0.0000 0.0000 1
Ta2 0.0000 0.5000 0.5000 1
I1 0.5000 0.5000 0.5000 1
```

The following is a simulated X-ray powder pattern of SrCdAg6. It was derived from DFT lattice parameters and positions (PBE), using Cu Kα.
No peak broadening, texture or thermal motion is included.

Most intense lines, 2θ = 5–70°, low angle first:
hkl  2θ/deg  d_spacing  I (rel.)
1 0 0  16.05  5.523  1
2 0 0  32.42  2.762  31
2 0 1  36.37  2.470  100
2 1 1  39.98  2.255  69
2 2 2  57.83  1.594  9
3 2 0  60.43  1.532  21
3 2 1  62.96  1.476  34
4 0 0  67.87  1.381  14

```
data_SrCdAg6
_cell_length_a 5.5235
_cell_length_b 5.5235
_cell_length_c 5.5235
_cell_angle_alpha 90.00
_cell_angle_beta 90.00
_cell_angle_gamma 90.00
_symmetry_space_group_name_H-M 'P m -3'
_symmetry_Int_Tables_number 200
_symmetry_space_group_name_Hall '-P 2 2 3'
loop_
_atom_site_label
_atom_site_fract_x
_atom_site_fract_y
_atom_site_fract_z
_atom_site_occupancy
Sr1 0.0000 0.0000 0.0000 1
Cd1 0.5000 0.5000 0.5000 1
Ag1 0.0000 0.2559 0.5000 1
```

The following is a simulated X-ray powder pattern of DyMgSb3. It was derived from DFT lattice parameters and positions (PBE), using Cu Kα.
No peak broadening, texture or thermal motion is included.

Most intense lines, 2θ = 5–70°, low angle first:
hkl  2θ/deg  d_spacing  I (rel.)
1 0 0  6.54  13.506  62
0 0 2  28.37  3.146  66
2 0 2  31.40  2.849  56
2 2 0  31.81  2.813  100
5 0 0  33.17  2.701  49
4 1 1  33.42  2.681  35
3 0 2  34.82  2.576  51
3 2 0  35.19  2.550  49
0 2 2  40.93  2.205  41
1 2 2  41.50  2.176  40

```
data_DyMgSb3
_cell_length_a 13.5060
_cell_length_b 6.1896
_cell_length_c 6.2833
_cell_angle_alpha 90.00
_cell_angle_beta 90.00
_cell_angle_gamma 90.00
_symmetry_space_group_name_H-M 'P b c m'
_symmetry_Int_Tables_number 57
loop_
_symmetry_equiv_pos_as_xyz
'x,y,z'
'-x,-y,-z'
'-x,-y,z+1/2'
'x,y,-z+1/2'
'x,-y+1/2,-z'
'-x,y+1/2,z'
'-x,y+1/2,-z+1/2'
'x,-y+1/2,z+1/2'
loop_
_atom_site_label
_atom_site_fract_x
_atom_site_fract_y
_atom_site_fract_z
_atom_site_occupancy
Dy1 0.1764 0.0081 0.2500 1
Mg1 0.3925 0.7500 0.0000 1
Sb1 0.0029 0.7500 0.0000 1
Sb2 0.2417 0.0009 0.7500 1
Sb3 0.4169 0.1819 0.2500 1
```

The following is a simulated X-ray powder pattern of Y4HoSe5. It was derived from DFT lattice parameters and positions (PBE), using Cu Kα.
No peak broadening, texture or thermal motion is included.

Most intense lines, 2θ = 5–70°, low angle first:
hkl  2θ/deg  d_spacing  I (rel.)
1 1 0  13.74  6.444  4
1 0 1  18.17  4.883  4
2 1 1  26.76  3.331  7
0 0 2  30.93  2.891  46
1 3 0  31.03  2.882  91
4 2 0  44.41  2.040  100
5 0 1  52.65  1.738  2
4 2 2  55.14  1.666  35
0 0 4  64.45  1.446  5
2 6 0  64.69  1.441  11

```
data_Y4HoSe5
_cell_length_a 9.1130
_cell_length_b 9.1130
_cell_length_c 5.7829
_cell_angle_alpha 90.00
_cell_angle_beta 90.00
_cell_angle_gamma 90.00
_symmetry_space_group_name_H-M 'I 4/m'
_symmetry_Int_Tables_number 87
_symmetry_space_group_name_Hall '-I 4'
loop_
_atom_site_label
_atom_site_fract_x
_atom_site_fract_y
_atom_site_fract_z
_atom_site_occupancy
Y1 0.0984 0.3016 0.0000 1
Ho1 0.0000 0.0000 0.5000 1
Se1 0.0000 0.0000 0.0000 1
Se2 0.1005 0.2974 0.5000 1
```

The following is a simulated X-ray powder pattern of PmB4Rh8. It was derived from DFT lattice parameters and positions (PBE), using Cu Kα.
No peak broadening, texture or thermal motion is included.

Most intense lines, 2θ = 5–70°, low angle first:
hkl  2θ/deg  d_spacing  I (rel.)
0 0 3  11.41  7.757  50
0 0 6  22.93  3.878  31
0 0 9  34.69  2.586  52
2 0 2  38.37  2.346  59
0 2 4  40.74  2.215  100
2 0 5  42.45  2.129  45
0 2 7  46.75  1.943  26
2 0 8  49.29  1.849  23
0 2 13  65.05  1.434  27
2 2 0  67.77  1.383  27

```
data_PmB4Rh8
_cell_length_a 5.5307
_cell_length_b 5.5307
_cell_length_c 23.2705
_cell_angle_alpha 90.00
_cell_angle_beta 90.00
_cell_angle_gamma 120.00
_symmetry_space_group_name_H-M 'R -3 m'
_symmetry_Int_Tables_number 166
_symmetry_space_group_name_Hall '-R 3 2"'
loop_
_atom_site_label
_atom_site_fract_x
_atom_site_fract_y
_atom_site_fract_z
_atom_site_occupancy
Pm1 0.0000 0.0000 0.0000 1
B1 0.0000 0.0000 0.5000 1
B2 0.0000 0.5000 0.5000 1
Rh1 0.0000 0.0000 0.2300 1
Rh2 0.0020 0.5010 0.2282 1
```

The following is a simulated X-ray powder pattern of Dy5HoP6. It was derived from DFT lattice parameters and positions (PBE), using Cu Kα.
No peak broadening, texture or thermal motion is included.

Most intense lines, 2θ = 5–70°, low angle first:
hkl  2θ/deg  d_spacing  I (rel.)
2 0 0  27.28  3.269  87
1 3 1  31.60  2.831  100
2 0 2  45.30  2.002  73
3 3 1  53.68  1.707  43
4 0 0  56.28  1.635  26
2 6 2  65.99  1.416  12

```
data_Dy5HoP6
_cell_length_a 6.9364
_cell_length_b 12.0119
_cell_length_c 6.9344
_cell_angle_alpha 90.00
_cell_angle_beta 109.47
_cell_angle_gamma 90.00
_symmetry_space_group_name_H-M 'C 1 2/m 1'
_symmetry_Int_Tables_number 12
loop_
_symmetry_equiv_pos_as_xyz
'x,y,z'
'-x,-y,-z'
'-x,y,-z'
'x,-y,z'
'x+1/2,y+1/2,z'
'-x+1/2,-y+1/2,-z'
'-x+1/2,y+1/2,-z'
'x+1/2,-y+1/2,z'
loop_
_atom_site_label
_atom_site_fract_x
_atom_site_fract_y
_atom_site_fract_z
_atom_site_occupancy
Dy1 0.0000 0.0000 0.0000 1
Dy2 0.0000 0.1667 0.5000 1
Dy3 0.0000 0.3332 0.0000 1
Ho1 0.0000 0.5000 0.5000 1
P1 0.2505 0.0000 0.7496 1
P2 0.2504 0.1663 0.2504 1
```

The following is a simulated X-ray powder pattern of Co5P3. It was derived from DFT lattice parameters and positions (PBE), using Cu Kα.
No peak broadening, texture or thermal motion is included.

Most intense lines, 2θ = 5–70°, low angle first:
hkl  2θ/deg  d_spacing  I (rel.)
2 1 1  29.71  3.007  29
0 0 2  34.42  2.605  66
2 0 2  40.99  2.202  26
3 2 1  43.27  2.091  72
2 2 2  46.80  1.941  57
4 1 1  48.85  1.864  100
4 2 0  49.51  1.841  91
4 0 2  57.03  1.615  11
2 1 3  58.77  1.571  18
3 2 3  67.78  1.383  14

```
data_Co5P3
_cell_length_a 8.2309
_cell_length_b 8.2309
_cell_length_c 5.2125
_cell_angle_alpha 90.00
_cell_angle_beta 90.00
_cell_angle_gamma 90.00
_symmetry_space_group_name_H-M 'I 4 c m'
_symmetry_Int_Tables_number 108
_symmetry_space_group_name_Hall 'I 4 -2c'
loop_
_atom_site_label
_atom_site_fract_x
_atom_site_fract_y
_atom_site_fract_z
_atom_site_occupancy
Co1 0.0000 0.5000 0.0000 1
Co2 0.0714 0.2103 0.3841 1
P1 0.0000 0.0000 0.1239 1
P2 0.1595 0.3405 0.7552 1
```

The following is a simulated X-ray powder pattern of Ba4Se5. It was derived from DFT lattice parameters and positions (PBE), using Cu Kα.
No peak broadening, texture or thermal motion is included.

Most intense lines, 2θ = 5–70°, low angle first:
hkl  2θ/deg  d_spacing  I (rel.)
1 1 0  9.92  8.920  57
2 2 0  19.91  4.460  37
1 0 1  20.19  4.398  30
4 0 0  28.30  3.154  33
3 0 1  28.50  3.132  100
3 2 1  31.91  2.805  73
4 1 1  35.01  2.563  52
0 0 2  38.36  2.346  27
6 2 0  45.48  1.995  27
5 4 1  50.23  1.816  29

```
data_Ba4Se5
_cell_length_a 12.6146
_cell_length_b 12.6146
_cell_length_c 4.6927
_cell_angle_alpha 90.00
_cell_angle_beta 90.00
_cell_angle_gamma 90.00
_symmetry_space_group_name_H-M 'I 4/m m m'
_symmetry_Int_Tables_number 139
_symmetry_space_group_name_Hall '-I 4 2'
loop_
_atom_site_label
_atom_site_fract_x
_atom_site_fract_y
_atom_site_fract_z
_atom_site_occupancy
Ba1 0.0000 0.2379 0.0000 1
Se1 0.0000 0.0000 0.0000 1
Se2 0.1736 0.1736 0.5000 1
```

The following is a simulated X-ray powder pattern of Ac8SnIr3Cl4. It was derived from DFT lattice parameters and positions (PBE), using Cu Kα.
No peak broadening, texture or thermal motion is included.

Most intense lines, 2θ = 5–70°, low angle first:
hkl  2θ/deg  d_spacing  I (rel.)
0 0 1  11.39  7.767  40
2 2 0  24.07  3.697  17
0 2 0  27.53  3.240  100
2 2 3  35.46  2.532  20
2 2 -2  38.58  2.333  32
2 4 2  40.05  2.251  39
2 4 3  41.78  2.162  11
0 2 5  48.94  1.861  14
4 4 0  49.29  1.849  19
2 6 2  65.31  1.429  15

```
data_Ac8SnIr3Cl4
_cell_length_a 9.0031
_cell_length_b 9.0042
_cell_length_c 9.3390
_cell_angle_alpha 61.25
_cell_angle_beta 90.00
_cell_angle_gamma 60.02
_symmetry_space_group_name_H-M 'P -1'
_symmetry_Int_Tables_number 2
loop_
_symmetry_equiv_pos_as_xyz
'x,y,z'
'-x,-y,-z'
loop_
_atom_site_label
_atom_site_fract_x
_atom_site_fract_y
_atom_site_fract_z
_atom_site_occupancy
Ac1 0.2102 0.0412 0.2061 1
Ac2 0.2369 0.5265 0.2095 1
Ac3 0.2514 0.9604 0.7913 1
Ac4 0.2522 0.4966 0.7917 1
Sn1 0.5000 0.0000 0.0000 1
Ir1 0.0000 0.0000 0.0000 1
Ir2 0.0000 0.5000 0.0000 1
Ir3 0.5000 0.5000 0.0000 1
Cl1 0.0000 0.0000 0.5000 1
Cl2 0.0000 0.5000 0.5000 1
Cl3 0.5000 0.0000 0.5000 1
Cl4 0.5000 0.5000 0.5000 1
```

The following is a simulated X-ray powder pattern of KBi4Rh. It was derived from DFT lattice parameters and positions (PBE), using Cu Kα.
No peak broadening, texture or thermal motion is included.

Most intense lines, 2θ = 5–70°, low angle first:
hkl  2θ/deg  d_spacing  I (rel.)
0 0 2  9.52  9.295  100
0 0 4  19.10  4.647  15
2 0 0  27.23  3.275  32
0 0 6  28.82  3.098  25
2 1 1  30.92  2.892  22
2 0 4  33.49  2.676  33
2 1 3  33.87  2.647  63
2 0 6  40.09  2.249  39
2 1 9  54.36  1.688  16
4 1 3  60.17  1.538  28

```
data_KBi4Rh
_cell_length_a 6.5456
_cell_length_b 6.5456
_cell_length_c 18.5898
_cell_angle_alpha 90.00
_cell_angle_beta 90.00
_cell_angle_gamma 90.00
_symmetry_space_group_name_H-M 'I 4/m c m'
_symmetry_Int_Tables_number 140
_symmetry_space_group_name_Hall '-I 4 2c'
loop_
_atom_site_label
_atom_site_fract_x
_atom_site_fract_y
_atom_site_fract_z
_atom_site_occupancy
K1 0.0000 0.0000 0.0000 1
Bi1 0.1918 0.3082 0.1614 1
Rh1 0.0000 0.0000 0.2500 1
```

The following is a simulated X-ray powder pattern of NdTmMg5. It was derived from DFT lattice parameters and positions (PBE), using Cu Kα.
No peak broadening, texture or thermal motion is included.

Most intense lines, 2θ = 5–70°, low angle first:
hkl  2θ/deg  d_spacing  I (rel.)
0 2 0  18.28  4.852  48
1 1 -1  18.99  4.673  100
1 1 1  25.62  3.478  69
1 3 -1  32.37  2.766  49
2 0 -2  33.62  2.666  34
0 2 2  33.81  2.651  64
2 2 0  35.60  2.522  52
0 4 0  37.05  2.426  22
1 1 -3  41.21  2.190  20
2 4 -2  50.89  1.794  17

```
data_NdTmMg5
_cell_length_a 6.2907
_cell_length_b 9.7046
_cell_length_c 6.7459
_cell_angle_alpha 90.00
_cell_angle_beta 110.18
_cell_angle_gamma 90.00
_symmetry_space_group_name_H-M 'C 1 2/m 1'
_symmetry_Int_Tables_number 12
loop_
_symmetry_equiv_pos_as_xyz
'x,y,z'
'-x,-y,-z'
'-x,y,-z'
'x,-y,z'
'x+1/2,y+1/2,z'
'-x+1/2,-y+1/2,-z'
'-x+1/2,y+1/2,-z'
'x+1/2,-y+1/2,z'
loop_
_atom_site_label
_atom_site_fract_x
_atom_site_fract_y
_atom_site_fract_z
_atom_site_occupancy
Nd1 0.0000 0.0000 0.0000 1
Tm1 0.0000 0.5000 0.5000 1
Mg1 0.0000 0.0000 0.5000 1
Mg2 0.2015 0.2881 0.2306 1
```